1.
For Na5H7Se4O18, a GGA-PBE-relaxed structure gives the computed X-ray powder pattern in this record (Cu Ka).

Structural model:
```
data_Na5H7Se4O18
_chemical_formula_sum 'Na5 H7 Se4 O18'
_cell_length_a 6.080
_cell_length_b 7.420
_cell_length_c 10.041
_cell_angle_alpha 102.83
_cell_angle_beta 99.26
_cell_angle_gamma 100.22
_space_group_name_H-M_alt 'P 1'
_space_group_IT_number 1
loop_
_space_group_symop_operation_xyz
'x,y,z'
loop_
_atom_site_label
_atom_site_fract_x
_atom_site_fract_y
_atom_site_fract_z
Na1 0.000 0.000 0.000
Na2 0.134 0.173 0.399
Na3 0.348 0.258 0.806
Na4 0.654 0.739 0.193
Na5 0.866 0.826 0.603
H1 0.043 0.672 0.087
H2 0.147 0.394 0.051
H3 0.284 0.558 0.616
H4 0.500 0.996 0.499
H5 0.716 0.441 0.387
H6 0.854 0.604 0.947
H7 0.959 0.327 0.911
Se1 0.247 0.690 0.372
Se2 0.414 0.796 0.823
Se3 0.586 0.203 0.179
Se4 0.752 0.308 0.629
O1 0.052 0.819 0.396
O2 0.096 0.297 0.962
O3 0.221 0.914 0.772
O4 0.229 0.516 0.451
O5 0.252 0.612 0.204
O6 0.312 0.559 0.720
O7 0.330 0.123 0.207
O8 0.414 0.771 0.981
O9 0.487 0.159 0.557
O10 0.513 0.840 0.444
O11 0.586 0.228 0.021
O12 0.669 0.876 0.794
O13 0.689 0.439 0.282
O14 0.749 0.387 0.797
O15 0.773 0.483 0.550
O16 0.778 0.084 0.230
O17 0.905 0.702 0.037
O18 0.947 0.179 0.604
```

Most intense lines, 15 to 90 degrees two-theta, sorted by position:
2theta	I_rel
17.4	55
19.5	44
25.2	44
26.4	100
28.9	57
30.4	69

2.
For Na5H7Se4O18, a GGA-PBE-relaxed structure gives the computed X-ray powder pattern in this record (Cu Ka).

Structural model:
```
data_Na5H7Se4O18
_chemical_formula_sum 'Na5 H7 Se4 O18'
_cell_length_a 6.107
_cell_length_b 7.389
_cell_length_c 10.101
_cell_angle_alpha 101.39
_cell_angle_beta 98.23
_cell_angle_gamma 100.62
_space_group_name_H-M_alt 'P 1'
_space_group_IT_number 1
loop_
_space_group_symop_operation_xyz
'x,y,z'
loop_
_atom_site_label
_atom_site_fract_x
_atom_site_fract_y
_atom_site_fract_z
Na1 0.000 0.000 0.000
Na2 0.130 0.164 0.388
Na3 0.311 0.255 0.783
Na4 0.638 0.728 0.159
Na5 0.848 0.783 0.565
H1 0.021 0.652 0.050
H2 0.119 0.384 0.025
H3 0.484 0.938 0.449
H4 0.514 0.958 0.666
H5 0.692 0.419 0.358
H6 0.832 0.589 0.915
H7 0.930 0.313 0.889
Se1 0.220 0.664 0.328
Se2 0.341 0.766 0.793
Se3 0.576 0.196 0.152
Se4 0.728 0.280 0.608
O1 0.043 0.806 0.361
O2 0.065 0.283 0.941
O3 0.150 0.894 0.761
O4 0.199 0.492 0.408
O5 0.230 0.599 0.162
O6 0.260 0.541 0.717
O7 0.330 0.107 0.191
O8 0.447 0.803 0.957
O9 0.473 0.116 0.557
O10 0.499 0.810 0.391
O11 0.560 0.238 0.998
O12 0.571 0.866 0.717
O13 0.673 0.428 0.257
O14 0.725 0.444 0.517
O15 0.731 0.373 0.773
O16 0.776 0.079 0.193
O17 0.889 0.687 0.001
O18 0.928 0.157 0.583
```

Most intense lines, 15 to 90 degrees two-theta, sorted by position:
2theta	I_rel
17.3	73
19.6	62
24.5	52
25.2	55
25.8	100
28.8	69

3.
For NaHSeO3, a GGA-PBE-relaxed structure gives the computed X-ray powder pattern in this record (Cu Ka).

Structural model:
```
data_NaHSeO3
_chemical_formula_sum 'Na16 H16 Se16 O48'
_cell_length_a 22.500
_cell_length_b 5.902
_cell_length_c 10.444
_cell_angle_alpha 90.00
_cell_angle_beta 105.47
_cell_angle_gamma 90.00
_space_group_name_H-M_alt 'C 1 2/c 1'
_space_group_IT_number 15
loop_
_space_group_symop_operation_xyz
'x,y,z'
'-x,-y,-z'
'-x,y,-z+1/2'
'x,-y,z+1/2'
'x+1/2,y+1/2,z'
'-x+1/2,-y+1/2,-z'
'-x+1/2,y+1/2,-z+1/2'
'x+1/2,-y+1/2,z+1/2'
loop_
_atom_site_label
_atom_site_fract_x
_atom_site_fract_y
_atom_site_fract_z
Na1 0.126 0.244 0.328
Na2 0.197 0.215 0.720
H1 0.006 0.177 0.399
H2 0.242 0.489 0.022
Se1 0.040 0.259 0.624
Se2 0.158 0.262 0.033
O1 0.044 0.269 0.449
O2 0.057 0.018 0.160
O3 0.104 0.407 0.694
O4 0.186 0.078 0.937
O5 0.196 0.471 0.510
O6 0.198 0.191 0.190
```

Most intense lines, 15 to 90 degrees two-theta, sorted by position:
2theta	I_rel
17.3	71
22.7	61
25.1	50
26.2	61
28.8	84
30.3	100